This entry pairs a crystal structure of MgV8O8F8 with its theoretical powder diffractogram. Radiation: Cu Kα X-rays. Structure: a structure optimized by DFT (PBE+U).
Peak positions follow from Bragg's law for the DFT cell and can differ from measured ones.

Structure:
```
MgV8O8F8
1.0
4.921 0.000 0.000
0.082 5.639 0.000
0.032 0.962 10.631
Mg V O F
1 8 8 8
Cartesian
0.000 0.000 0.000 Mg
5.002 5.177 3.698 V
0.109 1.346 6.272 V
2.434 5.900 8.846 V
2.381 0.764 1.105 V
2.527 2.334 4.044 V
2.597 4.135 6.536 V
4.790 3.311 1.562 V
4.874 3.182 9.086 V
0.790 5.103 1.731 O
0.918 1.248 4.576 O
1.525 1.838 9.737 O
1.584 5.772 7.154 O
3.416 2.477 5.843 O
3.483 4.275 8.357 O
3.875 3.469 3.201 O
4.141 1.858 0.301 O
0.889 4.844 9.835 F
0.980 3.032 7.241 F
1.583 4.045 4.703 F
1.558 2.380 2.123 F
3.337 4.663 0.209 F
3.300 0.696 3.035 F
4.040 5.289 5.662 F
4.085 1.366 8.390 F
```

Peak list (10 most intense, 10 to 80 degrees two-theta, by angle)
d 3.452, 2θ 25.81, intensity 100.0
d 3.413, 2θ 26.11, intensity 99.3
d 2.654, 2θ 33.77, intensity 51.9
d 2.628, 2θ 34.12, intensity 28.5
d 2.581, 2θ 34.76, intensity 26.9
d 2.339, 2θ 38.49, intensity 23.1
d 1.806, 2θ 50.55, intensity 24.3
d 1.795, 2θ 50.87, intensity 32.6
d 1.742, 2θ 52.54, intensity 21.7
d 1.563, 2θ 59.09, intensity 21.8